Diffraction record for YHg6. The PXRD pattern is simulated, not measured: it uses a DFT-relaxed cell (PBE, Alexandria) and CuKα.
Kinematic intensities with the Lorentz-polarization factor, no thermal factor.

The 10 most intense peaks (5° ≤ 2θ ≤ 70°), most intense first:
hkl 1 1 2, 35.07°, rel. 1000; hkl 2 0 0, 36.95°, rel. 457; hkl 3 1 2, 65.37°, rel. 354; hkl 1 0 1, 21.64°, rel. 195; hkl 2 0 4, 61.67°, rel. 171; hkl 2 2 0, 53.25°, rel. 162; hkl 0 0 4, 47.52°, rel. 93; hkl 2 1 1, 43.22°, rel. 69; hkl 1 1 0, 25.90°, rel. 64; hkl 2 0 2, 44.15°, rel. 45

Cell: 4.866 4.866 7.653 Å, 90.00 90.00 90.00°
Fractional coordinates of all 7 atoms:
1 Y 0.000 0.000 0.000
2 Hg 0.000 0.000 0.500
3 Hg 0.000 0.500 0.272
4 Hg 0.000 0.500 0.728
5 Hg 0.500 0.000 0.272
6 Hg 0.500 0.000 0.728
7 Hg 0.500 0.500 0.000